1.
Diffraction record for Ac8Pm5Y. The XRD peak list is computed, not measured: it uses a GGA-PBE-relaxed structure and copper Kα.

The 6 most intense peaks (2θ = 5–70°), low angle first:
two_theta	I_rel
24.41	48
28.23	100
28.50	21
29.87	95
30.35	86
32.39	55

Cell and atoms:
Cell lengths 9.0965, 9.1118, 9.1841 Å; angles 114.02, 114.81, 99.55 degrees
Positions (direct):
Ac: 0.0000 0.0000 0.0000
Ac: 0.0474 0.3584 0.8702
Ac: 0.1603 0.9546 0.5711
Ac: 0.2111 0.5118 0.3635
Ac: 0.4898 0.8337 0.9059
Ac: 0.5917 0.3550 0.5359
Ac: 0.6787 0.7794 0.4568
Ac: 0.8159 0.6220 0.0803
Pm: 0.0091 0.6060 0.6414
Pm: 0.3125 0.8561 0.2176
Pm: 0.4654 0.2719 0.0942
Pm: 0.6353 0.1434 0.8040
Pm: 0.8439 0.1454 0.3511
Y: 0.3310 0.3878 0.7241


2.
Diffraction record for AcPm3Y3. The XRD peak list is computed, not measured: it uses a GGA-PBE-relaxed structure and copper Kα.

The 6 most intense peaks (2θ = 5–70°), low angle first:
two_theta	I_rel
15.47	22
22.08	38
31.24	100
31.62	81
45.05	26
56.08	20

Cell and atoms:
Cell lengths 6.9447, 6.9447, 6.9447 Å; angles 109.15, 109.15, 109.15 degrees
Positions (direct):
Ac: 0.0000 0.0000 0.0000
Pm: 0.5420 0.5420 0.9661
Pm: 0.5420 0.9661 0.5420
Pm: 0.9661 0.5420 0.5420
Y: 0.0439 0.0439 0.5150
Y: 0.0439 0.5150 0.0439
Y: 0.5150 0.0439 0.0439


3.
Diffraction record for AcPmY. The XRD peak list is computed, not measured: it uses a GGA-PBE-relaxed structure and copper Kα.

The 6 most intense peaks (2θ = 5–70°), low angle first:
two_theta	I_rel
29.12	100
29.55	30
33.88	65
48.38	23
48.95	25
57.72	27

Cell and atoms:
Cell lengths 3.7630, 3.7630, 9.0674 Å; angles 90.00, 90.00, 120.00 degrees
Positions (direct):
Ac: 0.0000 0.0000 0.0000
Pm: 0.6667 0.3333 0.3454
Y: 0.3333 0.6667 0.6623


4.
Diffraction record for AcPm12Y7. The XRD peak list is computed, not measured: it uses a GGA-PBE-relaxed structure and copper Kα.

The 6 most intense peaks (2θ = 5–70°), low angle first:
two_theta	I_rel
29.77	29
30.30	26
30.55	100
31.79	55
32.16	50
53.25	27

Cell and atoms:
Cell lengths 8.8537, 8.8537, 8.8537 Å; angles 88.90, 88.90, 88.90 degrees
Positions (direct):
Ac: 0.0000 0.0000 0.0000
Pm: 0.1383 0.2749 0.7215
Pm: 0.1416 0.6252 0.4958
Pm: 0.2749 0.7215 0.1383
Pm: 0.2785 0.8617 0.7251
Pm: 0.3748 0.5042 0.8584
Pm: 0.4958 0.1416 0.6252
Pm: 0.5042 0.8584 0.3748
Pm: 0.6252 0.4958 0.1416
Pm: 0.7215 0.1383 0.2749
Pm: 0.7251 0.2785 0.8617
Pm: 0.8584 0.3748 0.5042
Pm: 0.8617 0.7251 0.2785
Y: 0.0602 0.3880 0.1550
Y: 0.1550 0.0602 0.3880
Y: 0.3880 0.1550 0.0602
Y: 0.5000 0.5000 0.5000
Y: 0.6120 0.8450 0.9398
Y: 0.8450 0.9398 0.6120
Y: 0.9398 0.6120 0.8450


5.
Diffraction record for AcPm4Y8. The XRD peak list is computed, not measured: it uses a GGA-PBE-relaxed structure and copper Kα.

The 6 most intense peaks (2θ = 5–70°), low angle first:
two_theta	I_rel
15.84	12
19.43	14
25.16	12
31.99	100
45.87	18
57.01	36

Cell and atoms:
Cell lengths 7.9135, 7.9135, 7.9135 Å; angles 90.00, 90.00, 90.00 degrees
Positions (direct):
Ac: 0.0000 0.0000 0.0000
Pm: 0.0000 0.0000 0.5000
Pm: 0.0000 0.5000 0.0000
Pm: 0.5000 0.0000 0.0000
Pm: 0.5000 0.5000 0.5000
Y: 0.2627 0.2627 0.2627
Y: 0.2627 0.2627 0.7373
Y: 0.2627 0.7373 0.2627
Y: 0.2627 0.7373 0.7373
Y: 0.7373 0.2627 0.2627
Y: 0.7373 0.2627 0.7373
Y: 0.7373 0.7373 0.2627
Y: 0.7373 0.7373 0.7373


6.
Diffraction record for Ac6Pm5Y. The XRD peak list is computed, not measured: it uses a GGA-PBE-relaxed structure and copper Kα.

The 6 most intense peaks (2θ = 5–70°), low angle first:
two_theta	I_rel
28.70	100
32.63	18
32.80	18
34.32	16
55.84	16
56.06	16

Cell and atoms:
Cell lengths 10.0972, 10.0972, 10.0972 Å; angles 148.46, 117.66, 71.54 degrees
Positions (direct):
Ac: 0.0831 0.3337 0.7494
Ac: 0.2489 0.0000 0.2489
Ac: 0.4157 0.6663 0.7494
Ac: 0.5843 0.3337 0.2506
Ac: 0.7511 0.0000 0.7511
Ac: 0.9169 0.6663 0.2506
Pm: 0.1666 0.1666 0.0000
Pm: 0.3335 0.8335 0.5000
Pm: 0.5000 0.5000 0.0000
Pm: 0.6665 0.1665 0.5000
Pm: 0.8334 0.8334 0.0000
Y: 0.0000 0.5000 0.5000